Structure and simulated powder XRD pattern of AlNi2IrO6 (a structure optimized by DFT (PBE+U); Cu Kα (λ = 1.5418 Å)).
Intensities are scaled so that the largest is 100.

Atomic structure:
```
data_AlNi2IrO6
_cell_length_a 5.6504
_cell_length_b 5.6504
_cell_length_c 3.7037
_cell_angle_alpha 90.00
_cell_angle_beta 90.00
_cell_angle_gamma 90.00
_space_group_name_H-M_alt 'P 1'
_space_group_IT_number 1
loop_
_space_group_symop_operation_xyz
'x,y,z'
loop_
_atom_site_label
_atom_site_type_symbol
_atom_site_fract_x
_atom_site_fract_y
_atom_site_fract_z
_atom_site_occupancy
Al1 Al 0.0000 0.0000 0.0000 1
Ni1 Ni 0.0000 0.5000 0.1532 1
Ni2 Ni 0.5000 0.0000 0.1532 1
Ir1 Ir 0.5000 0.5000 0.0144 1
O1 O 0.0000 0.0000 0.5094 1
O2 O 0.2472 0.2472 0.0424 1
O3 O 0.2472 0.7528 0.0424 1
O4 O 0.5000 0.5000 0.5176 1
O5 O 0.7528 0.2472 0.0424 1
O6 O 0.7528 0.7528 0.0424 1
```

Top 8 peaks for 2θ from 5° to 70°, in order of falling intensity:
2θ 15.7, 5.650 Å, I = 100, (1 0 0)
2θ 24.0, 3.704 Å, I = 95, (0 0 1)
2θ 31.7, 2.825 Å, I = 74, (2 0 0)
2θ 52.0, 1.759 Å, I = 54, (2 2 1)
2θ 45.4, 1.998 Å, I = 53, (2 2 0)
2θ 28.8, 3.098 Å, I = 49, (1 0 1)
2θ 40.1, 2.246 Å, I = 39, (2 0 1)
2θ 54.6, 1.680 Å, I = 37, (1 1 2)